Entry 1:
Starting from a PBE-relaxed structure, the PXRD pattern of Mg3Be5 was calculated for Cu Kα X-rays.
Intensities are scaled so that the largest is 100.

Largest 8 diffraction maxima, sorted by position, 2θ = 10–80°:
2θ = 25.87°, I = 45
2θ = 27.87°, I = 100
2θ = 28.31°, I = 55
2θ = 28.87°, I = 49
2θ = 40.57°, I = 82
2θ = 43.06°, I = 83
2θ = 45.80°, I = 60
2θ = 46.26°, I = 52

```
Mg3Be5
1.0
2.132 -7.837 0.000
2.132 7.837 0.000
-2.001 0.000 6.888
Mg Be
6 10
direct
0.000 0.000 0.000
0.115 0.502 0.623
0.502 0.115 0.623
0.617 0.617 0.246
0.631 0.983 0.123
0.983 0.631 0.123
0.001 0.759 0.774
0.059 0.059 0.631
0.119 0.257 0.386
0.257 0.119 0.386
0.360 0.497 0.860
0.497 0.360 0.860
0.557 0.557 0.615
0.615 0.858 0.472
0.759 0.001 0.774
0.858 0.615 0.472
```

Entry 2:
Starting from a PBE-relaxed structure, the PXRD pattern of MgBe6 was calculated for Cu Kα X-rays.
Intensities are scaled so that the largest is 100.

Largest 8 diffraction maxima, sorted by position, 2θ = 10–80°:
2θ = 23.41°, I = 46
2θ = 26.22°, I = 80
2θ = 36.41°, I = 52
2θ = 42.01°, I = 91
2θ = 44.90°, I = 97
2θ = 45.22°, I = 100
2θ = 48.64°, I = 36
2θ = 49.70°, I = 32

```
MgBe6
1.0
7.024 0.000 0.000
0.000 4.302 0.000
0.000 0.000 9.036
Mg Be
4 24
direct
0.243 0.250 0.066
0.257 0.750 0.566
0.743 0.250 0.434
0.757 0.750 0.934
0.054 0.750 0.104
0.062 0.000 0.311
0.062 0.500 0.311
0.088 0.250 0.514
0.146 0.750 0.859
0.189 0.250 0.742
0.311 0.750 0.242
0.354 0.250 0.359
0.412 0.750 0.014
0.438 0.000 0.811
0.438 0.500 0.811
0.446 0.250 0.604
0.554 0.750 0.396
0.562 0.000 0.189
0.562 0.500 0.189
0.588 0.250 0.986
0.646 0.750 0.641
0.689 0.250 0.758
0.811 0.750 0.258
0.854 0.250 0.141
0.912 0.750 0.486
0.938 0.000 0.689
0.938 0.500 0.689
0.946 0.250 0.896
```

Entry 3:
Starting from a PBE-relaxed structure, the PXRD pattern of Mg4Be5 was calculated for Cu Kα X-rays.
Intensities are scaled so that the largest is 100.

Largest 8 diffraction maxima, sorted by position, 2θ = 10–80°:
2θ = 30.17°, I = 42
2θ = 33.79°, I = 64
2θ = 40.23°, I = 100
2θ = 45.96°, I = 28
2θ = 48.45°, I = 18
2θ = 64.87°, I = 23
2θ = 68.99°, I = 15
2θ = 77.14°, I = 15

```
Mg4Be5
1.0
-4.189 4.189 1.879
4.189 -4.189 1.879
4.189 4.189 -1.879
Mg Be
4 5
direct
0.000 0.305 0.305
0.000 0.695 0.695
0.305 0.000 0.305
0.695 0.000 0.695
0.000 0.000 0.000
0.373 0.373 0.745
0.373 0.627 0.000
0.627 0.373 0.000
0.627 0.627 0.255
```

Entry 4:
Starting from a PBE-relaxed structure, the PXRD pattern of Mg3Be2 was calculated for Cu Kα X-rays.
Intensities are scaled so that the largest is 100.

Largest 8 diffraction maxima, sorted by position, 2θ = 10–80°:
2θ = 31.42°, I = 39
2θ = 31.56°, I = 45
2θ = 35.08°, I = 61
2θ = 35.46°, I = 67
2θ = 36.92°, I = 42
2θ = 39.13°, I = 100
2θ = 39.81°, I = 52
2θ = 58.33°, I = 31

```
Mg3Be2
1.0
0.000 9.739 1.432
5.926 0.000 1.432
5.926 9.739 0.000
Mg Be
6 4
direct
0.000 0.000 0.000
0.201 0.747 0.581
0.250 0.250 0.250
0.669 0.779 0.049
0.747 0.201 0.471
0.779 0.669 0.503
0.280 0.612 0.776
0.474 0.918 0.970
0.612 0.280 0.332
0.918 0.474 0.638
```

Entry 5:
Starting from a PBE-relaxed structure, the PXRD pattern of MgBe13 was calculated for Cu Kα X-rays.
Intensities are scaled so that the largest is 100.

Largest 8 diffraction maxima, sorted by position, 2θ = 10–80°:
2θ = 24.95°, I = 42
2θ = 30.68°, I = 39
2θ = 39.93°, I = 82
2θ = 43.93°, I = 100
2θ = 53.71°, I = 66
2θ = 57.75°, I = 33
2θ = 66.82°, I = 22
2θ = 69.70°, I = 33

```
MgBe13
1.0
0.000 5.048 5.048
5.048 0.000 5.048
5.048 5.048 0.000
Mg Be
2 26
direct
0.250 0.250 0.250
0.750 0.750 0.750
0.000 0.000 0.000
0.066 0.289 0.711
0.066 0.711 0.934
0.066 0.934 0.289
0.211 0.434 0.789
0.211 0.566 0.434
0.211 0.789 0.566
0.289 0.066 0.934
0.289 0.711 0.066
0.289 0.934 0.711
0.434 0.211 0.566
0.434 0.566 0.789
0.434 0.789 0.211
0.500 0.500 0.500
0.566 0.211 0.789
0.566 0.434 0.211
0.566 0.789 0.434
0.711 0.066 0.289
0.711 0.289 0.934
0.711 0.934 0.066
0.789 0.211 0.434
0.789 0.434 0.566
0.789 0.566 0.211
0.934 0.066 0.711
0.934 0.289 0.066
0.934 0.711 0.289
```

Entry 6:
Starting from a PBE-relaxed structure, the PXRD pattern of Mg2Mn2Be was calculated for Cu Kα X-rays.
Intensities are scaled so that the largest is 100.

Largest 8 diffraction maxima, sorted by position, 2θ = 10–80°:
2θ = 20.37°, I = 26
2θ = 21.75°, I = 30
2θ = 34.72°, I = 11
2θ = 40.59°, I = 100
2θ = 41.42°, I = 24
2θ = 49.91°, I = 14
2θ = 66.81°, I = 12
2θ = 74.98°, I = 14

```
Mg2Mn2Be
1.0
5.778 0.000 0.000
0.000 5.778 0.000
0.000 0.000 4.360
Mg Mn Be
4 4 2
direct
0.175 0.325 0.000
0.325 0.825 0.000
0.675 0.175 0.000
0.825 0.675 0.000
0.130 0.630 0.500
0.370 0.130 0.500
0.630 0.870 0.500
0.870 0.370 0.500
0.000 0.000 0.500
0.500 0.500 0.500
```

Entry 7:
Starting from a PBE-relaxed structure, the PXRD pattern of MgBe17Mo was calculated for Cu Kα X-rays.
Intensities are scaled so that the largest is 100.

Largest 8 diffraction maxima, sorted by position, 2θ = 10–80°:
2θ = 16.15°, I = 100
2θ = 21.61°, I = 48
2θ = 24.16°, I = 58
2θ = 29.20°, I = 28
2θ = 34.93°, I = 67
2θ = 42.51°, I = 29
2θ = 49.86°, I = 45
2θ = 50.90°, I = 27

```
MgBe17Mo
1.0
3.684 2.127 3.585
-3.684 2.127 3.585
0.000 -4.253 3.585
Mg Be Mo
1 17 1
direct
0.000 0.000 0.000
0.003 0.003 0.491
0.003 0.491 0.003
0.157 0.648 0.648
0.312 0.312 0.811
0.312 0.811 0.312
0.360 0.654 0.952
0.360 0.952 0.654
0.491 0.003 0.003
0.553 0.553 0.553
0.648 0.157 0.648
0.648 0.648 0.157
0.654 0.360 0.952
0.654 0.952 0.360
0.751 0.751 0.751
0.811 0.312 0.312
0.952 0.360 0.654
0.952 0.654 0.360
0.321 0.321 0.321
```